1.
BeH4NCl3: simulated powder diffraction line list (a wavelength of 1.5418 Å), based on a DFT-relaxed cell (GGA-PBE, Alexandria).
Neutral-atom scattering factors, no anomalous dispersion.

Structure:
```
36
Lattice="5.7974 0.0000 0.0000 0.0395 8.0607 0.0000 0.0618 2.4655 14.0580" Properties=species:S:1:pos:R:3 pbc="T T T"
Be 0.0000 0.0000 0.0000
Be 0.4611 5.9633 6.4224
Be 1.5906 9.7572 11.9245
Be 3.3766 3.7482 5.7665
H 0.4352 2.2798 3.8057
H 0.5673 1.8407 7.5464
H 0.7026 6.3820 11.4050
H 0.7252 4.7255 11.0193
H 0.9978 8.4188 8.2151
H 1.5063 1.8178 8.9536
H 1.5570 6.1205 2.0264
H 2.1771 1.3227 7.4955
H 2.2243 6.4900 3.5178
H 2.4870 4.9644 2.8768
H 3.2519 6.3064 2.1570
H 4.5662 1.9659 3.8809
H 5.3256 5.7341 10.3864
H 5.3322 5.3231 12.0560
H 5.4395 1.5595 2.4924
H 5.7061 0.7034 3.9599
N 0.1026 5.5428 11.2230
N 1.3454 9.3872 8.0561
N 2.3895 5.9696 2.6289
N 5.4798 1.6209 3.5336
Cl 1.3199 7.4063 5.2966
Cl 1.9167 4.5501 6.9636
Cl 2.1004 3.1064 10.6068
Cl 2.1578 10.3558 13.8345
Cl 2.2032 7.9391 11.4275
Cl 2.5660 3.0810 3.9886
Cl 4.1911 2.2032 6.7126
Cl 4.8190 5.1010 5.1418
Cl 5.3352 9.8262 12.2128
Cl 5.2682 1.8969 0.3101
Cl 5.2959 6.8390 1.5127
Cl 5.4571 6.6184 8.1059
```

Most intense lines, 2θ from 10° to 90°, in order of falling intensity:
31.74 deg, I = 100.0; 11.82 deg, I = 81.4; 13.72 deg, I = 69.9; 35.60 deg, I = 60.6; 12.59 deg, I = 55.6; 19.31 deg, I = 52.2

---

2.
Tb4Dy3Tm: simulated powder diffraction line list (a wavelength of 1.5418 Å), based on a DFT-relaxed cell (GGA-PBE, Alexandria).
Neutral-atom scattering factors, no anomalous dispersion.

Structure:
```
16
Lattice="11.2258 0.0000 0.0000 0.0000 7.2401 0.0000 0.0000 0.0000 6.2609" Properties=species:S:1:pos:R:3 pbc="T T T"
Tb 0.0000 0.9095 0.0000
Tb 0.0000 6.3301 3.1183
Tb 2.7951 6.3274 5.2109
Tb 2.8178 0.9127 2.0805
Tb 5.6129 0.9100 6.2487
Tb 5.6129 6.3306 3.1305
Tb 8.4080 0.9127 2.0805
Tb 8.4306 6.3274 5.2109
Dy 0.0000 2.7199 3.1232
Dy 2.8049 2.7221 5.2063
Dy 2.8079 4.5179 2.0759
Dy 5.6129 4.5201 6.2536
Dy 8.4208 2.7221 5.2063
Dy 8.4178 4.5179 2.0759
Tm 0.0000 4.5179 6.2540
Tm 5.6129 2.7222 3.1235
```

Most intense lines, 2θ from 10° to 90°, in order of falling intensity:
32.74 deg, I = 100.0; 28.49 deg, I = 23.9; 31.89 deg, I = 23.8; 60.94 deg, I = 22.6; 57.36 deg, I = 20.3; 50.46 deg, I = 19.9

---

3.
AcNd2Ag6: simulated powder diffraction line list (a wavelength of 1.5418 Å), based on a DFT-relaxed cell (GGA-PBE, Alexandria).
Neutral-atom scattering factors, no anomalous dispersion.

Structure:
```
9
Lattice="8.4031 0.0000 0.0000 -4.2016 7.2773 0.0000 0.0000 0.0000 3.6792" Properties=species:S:1:pos:R:3 pbc="T T T"
Ac 0.0000 0.0000 0.0000
Nd 0.0000 4.8515 0.0000
Nd 4.2016 2.4258 0.0000
Ag -1.4124 2.4464 1.8396
Ag -2.7891 4.8309 1.8396
Ag 2.8249 0.0000 1.8396
Ag 1.4124 2.4464 1.8396
Ag 5.5783 0.0000 1.8396
Ag 2.7891 4.8309 1.8396
```

Most intense lines, 2θ from 10° to 90°, in order of falling intensity:
32.34 deg, I = 100.0; 37.06 deg, I = 67.6; 49.99 deg, I = 29.1; 63.84 deg, I = 27.5; 63.46 deg, I = 27.0; 87.89 deg, I = 11.8

---

4.
Pa4In: simulated powder diffraction line list (a wavelength of 1.5418 Å), based on a DFT-relaxed cell (GGA-PBE, Alexandria).
Neutral-atom scattering factors, no anomalous dispersion.

Structure:
```
10
Lattice="3.0702 0.0000 0.0000 0.0000 5.1742 0.0000 0.0000 0.0000 15.1490" Properties=species:S:1:pos:R:3 pbc="T T T"
Pa 0.0000 0.0000 1.5821
Pa 0.0000 0.0000 13.5669
Pa 0.0000 2.5871 3.0424
Pa 0.0000 2.5871 12.1066
Pa 1.5351 0.0000 4.5321
Pa 1.5351 0.0000 10.6169
Pa 1.5351 2.5871 5.9924
Pa 1.5351 2.5871 9.1566
In 0.0000 0.0000 7.5745
In 1.5351 2.5871 0.0000
```

Most intense lines, 2θ from 10° to 90°, in order of falling intensity:
34.30 deg, I = 100.0; 36.02 deg, I = 61.4; 34.67 deg, I = 49.0; 34.18 deg, I = 41.7; 49.48 deg, I = 29.9; 71.23 deg, I = 24.9

---

5.
DyMgCd6: simulated powder diffraction line list (a wavelength of 1.5418 Å), based on a DFT-relaxed cell (GGA-PBE, Alexandria).
Neutral-atom scattering factors, no anomalous dispersion.

Structure:
```
16
Lattice="4.8516 0.0000 0.0000 0.0000 7.2321 0.0000 0.0000 0.0000 10.5230" Properties=species:S:1:pos:R:3 pbc="T T T"
Dy 0.0000 0.0000 0.0000
Dy 0.0000 3.6161 5.2615
Mg 2.4258 0.0000 2.6137
Mg 2.4258 3.6161 7.8752
Cd 0.0000 0.0000 4.6204
Cd 0.0000 1.5368 7.5981
Cd 0.0000 2.0793 2.3366
Cd 0.0000 3.6161 9.8819
Cd 0.0000 5.1528 2.3366
Cd 0.0000 5.6954 7.5981
Cd 2.4258 0.0000 8.4856
Cd 2.4258 1.5444 5.5766
Cd 2.4258 2.0717 0.3151
Cd 2.4258 3.6161 3.2241
Cd 2.4258 5.1604 0.3151
Cd 2.4258 5.6878 5.5766
```

Most intense lines, 2θ from 10° to 90°, in order of falling intensity:
35.35 deg, I = 100.0; 37.06 deg, I = 30.7; 33.88 deg, I = 21.2; 38.94 deg, I = 20.9; 65.69 deg, I = 16.4; 34.08 deg, I = 15.3

---

6.
NpScPdO6: simulated powder diffraction line list (a wavelength of 1.5418 Å), based on a DFT-relaxed cell (GGA-PBE, Alexandria).
Neutral-atom scattering factors, no anomalous dispersion.

Structure:
```
18
Lattice="5.2933 0.0000 0.0000 -2.6467 4.5842 0.0000 0.0000 0.0000 9.4727" Properties=species:S:1:pos:R:3 pbc="T T T"
Np 0.0000 3.0561 2.3682
Np 2.6467 1.5281 7.1045
Sc 0.0000 0.0000 0.0000
Sc 0.0000 0.0000 4.7364
Pd 0.0000 3.0561 7.1045
Pd 2.6467 1.5281 2.3682
O -0.8578 1.5415 1.2239
O -1.7406 3.0706 3.5125
O 0.8578 1.5415 3.5125
O -0.8828 4.5563 1.2239
O 1.7638 0.0278 5.9602
O 0.9060 1.5136 8.2488
O 1.7406 3.0706 1.2239
O 0.8828 4.5563 3.5125
O 3.5295 0.0278 8.2488
O 1.7889 3.0427 5.9602
O 4.3873 1.5136 5.9602
O 3.5045 3.0427 8.2488
```

Most intense lines, 2θ from 10° to 90°, in order of falling intensity:
27.07 deg, I = 100.0; 18.74 deg, I = 76.8; 38.98 deg, I = 76.5; 33.87 deg, I = 67.2; 51.80 deg, I = 66.0; 21.54 deg, I = 40.8

---

7.
BaH3F3: simulated powder diffraction line list (a wavelength of 1.5418 Å), based on a DFT-relaxed cell (GGA-PBE, Alexandria).
Neutral-atom scattering factors, no anomalous dispersion.

Structure:
```
14
Lattice="3.6237 2.0921 3.7157 -3.6237 2.0921 3.7157 0.0000 -4.1843 3.7157" Properties=species:S:1:pos:R:3 pbc="T T T"
Ba 0.0000 0.0000 2.4730
Ba 0.0000 0.0000 8.6742
H -0.4524 -0.9850 5.3889
H -1.0792 -0.1007 5.7583
H -0.6268 0.8843 5.3889
H 0.6268 -0.8843 5.7583
H 1.0792 0.1007 5.3889
H 0.4524 0.9850 5.7583
F -0.9793 -2.1193 4.6252
F -2.3251 -0.2116 6.5220
F -1.3457 1.9078 4.6252
F 1.3458 -1.9078 6.5220
F 2.3251 0.2116 4.6252
F 0.9793 2.1193 6.5220
```

Most intense lines, 2θ from 10° to 90°, in order of falling intensity:
21.32 deg, I = 100.0; 24.57 deg, I = 59.5; 32.75 deg, I = 51.0; 41.36 deg, I = 43.6; 43.24 deg, I = 40.0; 34.57 deg, I = 33.4

---

8.
VNi2: simulated powder diffraction line list (a wavelength of 1.5418 Å), based on a DFT-relaxed cell (GGA-PBE, Alexandria).
Neutral-atom scattering factors, no anomalous dispersion.

Structure:
```
6
Lattice="2.5345 0.0000 0.0000 0.0000 3.5636 0.0000 0.0000 0.0000 7.6181" Properties=species:S:1:pos:R:3 pbc="T T T"
V 0.0000 0.0000 0.0000
V 1.2673 1.7818 3.8091
Ni 0.0000 0.0000 2.5304
Ni 0.0000 0.0000 5.0878
Ni 1.2673 1.7818 1.2787
Ni 1.2673 1.7818 6.3394
```

Most intense lines, 2θ from 10° to 90°, in order of falling intensity:
43.80 deg, I = 100.0; 50.90 deg, I = 31.1; 75.15 deg, I = 17.6; 51.27 deg, I = 15.2; 74.77 deg, I = 4.5; 74.94 deg, I = 4.4

---

9.
InAg2Au: simulated powder diffraction line list (a wavelength of 1.5418 Å), based on a DFT-relaxed cell (GGA-PBE, Alexandria).
Neutral-atom scattering factors, no anomalous dispersion.

Structure:
```
16
Lattice="10.5397 0.0000 0.0000 0.0000 4.8544 0.0000 0.0000 0.0000 5.9180" Properties=species:S:1:pos:R:3 pbc="T T T"
In 1.7342 1.2136 0.0433
In 3.5356 3.6408 3.0023
In 7.0041 1.2136 2.9157
In 8.8055 3.6408 5.8747
Ag 0.8601 3.6408 1.5552
Ag 1.7405 1.2136 2.9863
Ag 3.5293 3.6408 0.0272
Ag 4.4098 1.2136 4.5143
Ag 6.1300 3.6408 1.4038
Ag 7.0104 1.2136 5.8908
Ag 8.7992 3.6408 2.9318
Ag 9.6797 1.2136 4.3628
Au 0.8967 3.6408 4.4765
Au 4.3731 1.2136 1.5175
Au 6.1666 3.6408 4.4005
Au 9.6430 1.2136 1.4415
```

Most intense lines, 2θ from 10° to 90°, in order of falling intensity:
39.56 deg, I = 100.0; 38.89 deg, I = 50.5; 37.04 deg, I = 39.9; 34.77 deg, I = 22.4; 73.90 deg, I = 20.1; 68.44 deg, I = 19.2

---

10.
Na2As4O11: simulated powder diffraction line list (a wavelength of 1.5418 Å), based on a DFT-relaxed cell (GGA-PBE, Alexandria).
Neutral-atom scattering factors, no anomalous dispersion.

Structure:
```
34
Lattice="4.6088 -4.2460 0.0000 4.6088 4.2460 0.0000 -2.5965 0.0000 11.4740" Properties=species:S:1:pos:R:3 pbc="T T T"
Na 0.0627 0.8354 5.3112
Na -1.2356 -0.8354 11.0482
Na 7.8566 0.8354 0.4257
Na 6.5583 -0.8354 6.1627
As 1.8374 1.7630 1.9008
As 3.2162 0.3276 4.3778
As 0.5392 -1.7630 7.6378
As 1.9179 -0.3276 10.1148
As 4.7031 0.3276 1.3592
As 6.0819 1.7630 3.8362
As 3.4049 -0.3276 7.0962
As 4.7836 -1.7630 9.5732
O 0.7372 0.6675 1.3115
O 2.0636 1.6432 3.6497
O -0.5610 -0.6675 7.0484
O 0.3976 0.7820 9.8477
O 3.4353 1.6890 1.1917
O 2.4906 0.8731 6.0135
O 1.6958 -0.7820 4.1107
O 4.4840 1.6890 4.5452
O 2.6614 0.3915 8.6055
O 2.8322 0.8731 11.1975
O 5.8557 1.6432 2.0873
O 0.7653 -1.6432 9.3867
O 3.7888 -0.8731 0.2765
O 3.9596 -0.3915 2.8685
O 2.1371 -1.6890 6.9287
O 4.9252 0.7820 7.3633
O 4.1305 -0.8731 5.4605
O 3.1857 -1.6890 10.2822
O 6.2235 -0.7820 1.6263
O 7.1821 0.6675 4.4255
O 4.5575 -1.6432 7.8242
O 5.8838 -0.6675 10.1625
```

Most intense lines, 2θ from 10° to 90°, in order of falling intensity:
14.35 deg, I = 100.0; 22.30 deg, I = 57.6; 28.93 deg, I = 53.2; 29.27 deg, I = 26.7; 15.23 deg, I = 26.0; 25.47 deg, I = 22.7

---

11.
Na4SnPb4: simulated powder diffraction line list (a wavelength of 1.5418 Å), based on a DFT-relaxed cell (GGA-PBE, Alexandria).
Neutral-atom scattering factors, no anomalous dispersion.

Structure:
```
9
Lattice="-5.0813 5.0813 2.5085 5.0813 -5.0813 2.5085 5.0813 5.0813 -2.5085" Properties=species:S:1:pos:R:3 pbc="T T T"
Na 1.6545 1.6545 0.0000
Na 3.4267 -3.4267 2.5085
Na -3.4267 3.4267 2.5085
Na 3.4267 3.4267 2.5085
Sn 0.0000 0.0000 2.5085
Pb 5.0813 1.7123 0.0000
Pb 1.7123 5.0813 0.0000
Pb 3.3690 0.0000 2.5085
Pb 0.0000 3.3690 2.5085
```

Most intense lines, 2θ from 10° to 90°, in order of falling intensity:
31.88 deg, I = 100.0; 37.55 deg, I = 32.4; 64.22 deg, I = 27.4; 12.32 deg, I = 25.7; 52.85 deg, I = 24.5; 19.73 deg, I = 22.8

---

12.
Sr2Ti6N2O11: simulated powder diffraction line list (a wavelength of 1.5418 Å), based on a DFT-relaxed cell (GGA-PBE, Alexandria).
Neutral-atom scattering factors, no anomalous dispersion.

Structure:
```
21
Lattice="7.5028 -1.9380 0.0000 7.5028 1.9380 0.0000 -1.5433 0.0000 9.2044" Properties=species:S:1:pos:R:3 pbc="T T T"
Sr 0.0000 0.0000 0.0000
Sr 0.5114 0.0000 4.9473
Ti 4.6080 0.0000 0.1904
Ti 4.9842 0.0000 3.2036
Ti 5.2795 0.0000 6.3382
Ti 8.6249 0.0000 8.0085
Ti 10.2108 0.0000 2.1317
Ti 10.9461 0.0000 5.1070
N 11.9395 0.0000 3.3554
N 12.4498 0.0000 6.2631
O 1.3477 0.0000 8.2621
O 3.2496 0.0000 1.9390
O 3.5230 0.0000 5.0470
O 4.3567 0.0000 8.1647
O 5.9358 0.0000 1.6033
O 6.2790 0.0000 4.5879
O 6.8852 0.0000 7.3096
O 9.0380 0.0000 0.6624
O 9.1876 0.0000 3.6001
O 9.3364 0.0000 6.3029
O 11.7264 0.0000 0.1944
```

Most intense lines, 2θ from 10° to 90°, in order of falling intensity:
29.30 deg, I = 100.0; 29.93 deg, I = 86.8; 46.88 deg, I = 73.5; 33.47 deg, I = 61.0; 42.70 deg, I = 59.6; 31.40 deg, I = 53.5